Starting from a crystal structure in Alexandria, relaxed with PBE, the powder diffractogram of CaSm4Cu5 was computed for Cu Kα X-rays.
Neutral-atom scattering factors, no anomalous dispersion.

Crystal structure
```
CaSm4Cu5
1.0
3.5382 0.0000 0.0000
0.0000 3.5382 0.0000
0.0000 0.0000 17.8951
Ca Sm Cu
1 4 5
Cartesian
0.0000 0.0000 0.0000
0.0000 0.0000 3.5817
0.0000 0.0000 7.1703
0.0000 0.0000 10.7249
0.0000 0.0000 14.3134
1.7691 1.7691 1.9399
1.7691 1.7691 5.3671
1.7691 1.7691 8.9476
1.7691 1.7691 12.5280
1.7691 1.7691 15.9553
```

Main lines, low angle first (10 to 90 degrees two-theta):
d (Å)  Rel. int.
3.538  11
2.516  100
2.502  50
1.789  9
1.769  17
1.456  17
1.447  34
1.258  10
1.120  7
1.119  7